# V2CuPd6
Calculated powder diffraction line list, Cu Kα, 1.54184 Å. Input: a cell relaxed with GGA-PBE.
Intensities are scaled so that the largest is 100.

Cell and atoms:
```
data_V2CuPd6
_chemical_formula_sum 'V8 Cu4 Pd24'
_cell_length_a 3.958
_cell_length_b 11.241
_cell_length_c 11.877
_cell_angle_alpha 90.00
_cell_angle_beta 90.00
_cell_angle_gamma 90.00
_space_group_name_H-M_alt 'F m m m'
_space_group_IT_number 69
_space_group_name_Hall '-F 2 2'
loop_
_atom_site_label
_atom_site_type_symbol
_atom_site_fract_x
_atom_site_fract_y
_atom_site_fract_z
V1 V 0.000 0.000 0.164
Cu1 Cu 0.000 0.000 0.500
Pd1 Pd 0.000 0.156 0.333
Pd2 Pd 0.000 0.158 0.000
```

The 8 most intense peaks (2θ = 10–90°), in order of rising 2θ:
| 2θ/deg | I_rel |
| --- | --- |
| 33.0 | 10 |
| 40.2 | 100 |
| 45.8 | 35 |
| 48.6 | 13 |
| 66.8 | 11 |
| 69.0 | 17 |
| 81.0 | 24 |
| 86.9 | 9 |

---

# VCu7Pd12
Calculated powder diffraction line list, Cu Kα, 1.54184 Å. Input: a cell relaxed with GGA-PBE.
Intensities are scaled so that the largest is 100.

Cell and atoms:
```
data_VCu7Pd12
_chemical_formula_sum 'V3 Cu21 Pd36'
_cell_length_a 10.9505
_cell_length_b 10.9505
_cell_length_c 8.3298
_cell_angle_alpha 90.00
_cell_angle_beta 90.00
_cell_angle_gamma 120.00
_space_group_name_H-M_alt 'R -3'
_space_group_IT_number 148
_space_group_name_Hall '-R 3'
loop_
_atom_site_label
_atom_site_type_symbol
_atom_site_fract_x
_atom_site_fract_y
_atom_site_fract_z
V1 V 0.0000 0.0000 0.0000
Cu1 Cu 0.0000 0.0000 0.5000
Cu2 Cu 0.0661 0.5680 0.6174
Pd1 Pd 0.0171 0.7615 0.5327
Pd2 Pd 0.0512 0.8845 0.2379
```

The 8 most intense peaks (2θ = 10–90°), in order of rising 2θ:
| 2θ/deg | I_rel |
| --- | --- |
| 36.3 | 32 |
| 39.5 | 100 |
| 40.6 | 58 |
| 43.0 | 30 |
| 43.4 | 44 |
| 43.7 | 31 |
| 43.9 | 57 |
| 44.5 | 36 |

---

# VCu3Pd12
Calculated powder diffraction line list, Cu Kα, 1.54184 Å. Input: a cell relaxed with GGA-PBE.
Intensities are scaled so that the largest is 100.

Cell and atoms:
```
data_VCu3Pd12
_chemical_formula_sum 'V1 Cu3 Pd12'
_cell_length_a 3.892
_cell_length_b 3.892
_cell_length_c 15.521
_cell_angle_alpha 90.00
_cell_angle_beta 90.00
_cell_angle_gamma 90.00
_space_group_name_H-M_alt 'P 4/m m m'
_space_group_IT_number 123
_space_group_name_Hall '-P 4 2'
loop_
_atom_site_label
_atom_site_type_symbol
_atom_site_fract_x
_atom_site_fract_y
_atom_site_fract_z
V1 V 0.000 0.000 0.000
Cu1 Cu 0.000 0.000 0.251
Cu2 Cu 0.000 0.000 0.500
Pd1 Pd 0.000 0.500 0.122
Pd2 Pd 0.000 0.500 0.375
Pd3 Pd 0.500 0.500 0.000
Pd4 Pd 0.500 0.500 0.249
Pd5 Pd 0.500 0.500 0.500
```

The 8 most intense peaks (2θ = 10–90°), in order of rising 2θ:
| 2θ/deg | I_rel |
| --- | --- |
| 40.2 | 100 |
| 46.7 | 32 |
| 46.8 | 16 |
| 68.1 | 10 |
| 68.3 | 20 |
| 82.2 | 24 |
| 82.4 | 12 |
| 86.8 | 10 |

---

# VCu5Pd6
Calculated powder diffraction line list, Cu Kα, 1.54184 Å. Input: a cell relaxed with GGA-PBE.
Intensities are scaled so that the largest is 100.

Cell and atoms:
```
data_VCu5Pd6
_chemical_formula_sum 'V2 Cu10 Pd12'
_cell_length_a 3.965
_cell_length_b 11.861
_cell_length_c 7.059
_cell_angle_alpha 90.00
_cell_angle_beta 90.00
_cell_angle_gamma 90.00
_space_group_name_H-M_alt 'C m m m'
_space_group_IT_number 65
_space_group_name_Hall '-C 2 2'
loop_
_atom_site_label
_atom_site_type_symbol
_atom_site_fract_x
_atom_site_fract_y
_atom_site_fract_z
V1 V 0.000 0.000 0.000
Cu1 Cu 0.000 0.000 0.500
Cu2 Cu 0.000 0.332 0.000
Cu3 Cu 0.000 0.335 0.500
Pd1 Pd 0.000 0.165 0.248
Pd2 Pd 0.000 0.500 0.242
```

The 8 most intense peaks (2θ = 10–90°), in order of rising 2θ:
| 2θ/deg | I_rel |
| --- | --- |
| 41.2 | 100 |
| 45.8 | 18 |
| 45.9 | 18 |
| 51.8 | 12 |
| 66.8 | 11 |
| 81.5 | 13 |
| 81.7 | 12 |
| 89.3 | 10 |

---

# Y2Cu2Pd
Calculated powder diffraction line list, Cu Kα, 1.54184 Å. Input: a cell relaxed with GGA-PBE.
Intensities are scaled so that the largest is 100.

Cell and atoms:
```
data_Y2Cu2Pd
_chemical_formula_sum 'Y8 Cu8 Pd4'
_cell_length_a 10.283
_cell_length_b 4.043
_cell_length_c 10.757
_cell_angle_alpha 90.00
_cell_angle_beta 114.03
_cell_angle_gamma 90.00
_space_group_name_H-M_alt 'C 1 2/m 1'
_space_group_IT_number 12
loop_
_space_group_symop_operation_xyz
'x,y,z'
'-x,-y,-z'
'-x,y,-z'
'x,-y,z'
'x+1/2,y+1/2,z'
'-x+1/2,-y+1/2,-z'
'-x+1/2,y+1/2,-z'
'x+1/2,-y+1/2,z'
loop_
_atom_site_label
_atom_site_type_symbol
_atom_site_fract_x
_atom_site_fract_y
_atom_site_fract_z
Y1 Y 0.013 0.000 0.339
Y2 Y 0.192 0.000 0.116
Cu1 Cu 0.026 0.500 0.893
Cu2 Cu 0.134 0.500 0.553
Pd1 Pd 0.214 0.500 0.327
```

The 8 most intense peaks (2θ = 10–90°), in order of rising 2θ:
| 2θ/deg | I_rel |
| --- | --- |
| 32.5 | 75 |
| 33.4 | 83 |
| 35.0 | 70 |
| 36.6 | 30 |
| 37.9 | 50 |
| 40.3 | 100 |
| 41.0 | 29 |
| 44.8 | 58 |

---

# Y3CuPd3
Calculated powder diffraction line list, Cu Kα, 1.54184 Å. Input: a cell relaxed with GGA-PBE.
Intensities are scaled so that the largest is 100.

Cell and atoms:
```
data_Y3CuPd3
_chemical_formula_sum 'Y6 Cu2 Pd6'
_cell_length_a 3.743
_cell_length_b 4.275
_cell_length_c 18.940
_cell_angle_alpha 90.00
_cell_angle_beta 90.00
_cell_angle_gamma 90.00
_space_group_name_H-M_alt 'I m m 2'
_space_group_IT_number 44
loop_
_space_group_symop_operation_xyz
'x,y,z'
'-x,-y,z'
'-x,y,z'
'x,-y,z'
'x+1/2,y+1/2,z+1/2'
'-x+1/2,-y+1/2,z+1/2'
'-x+1/2,y+1/2,z+1/2'
'x+1/2,-y+1/2,z+1/2'
loop_
_atom_site_label
_atom_site_type_symbol
_atom_site_fract_x
_atom_site_fract_y
_atom_site_fract_z
Y1 Y 0.000 0.000 0.000
Y2 Y 0.000 0.000 0.372
Y3 Y 0.000 0.500 0.184
Cu1 Cu 0.000 0.500 0.753
Pd1 Pd 0.000 0.000 0.529
Pd2 Pd 0.000 0.000 0.833
Pd3 Pd 0.000 0.500 0.622
```

The 8 most intense peaks (2θ = 10–90°), in order of rising 2θ:
| 2θ/deg | I_rel |
| --- | --- |
| 33.2 | 100 |
| 33.7 | 30 |
| 37.1 | 30 |
| 39.4 | 49 |
| 42.3 | 33 |
| 43.0 | 37 |
| 48.7 | 22 |
| 64.3 | 22 |

---

# ZnCu3Pd4
Calculated powder diffraction line list, Cu Kα, 1.54184 Å. Input: a cell relaxed with GGA-PBE.
Intensities are scaled so that the largest is 100.

Cell and atoms:
```
data_ZnCu3Pd4
_chemical_formula_sum 'Zn2 Cu6 Pd8'
_cell_length_a 4.292
_cell_length_b 4.292
_cell_length_c 12.085
_cell_angle_alpha 90.00
_cell_angle_beta 90.00
_cell_angle_gamma 90.00
_space_group_name_H-M_alt 'I 4/m m m'
_space_group_IT_number 139
_space_group_name_Hall '-I 4 2'
loop_
_atom_site_label
_atom_site_type_symbol
_atom_site_fract_x
_atom_site_fract_y
_atom_site_fract_z
Zn1 Zn 0.000 0.000 0.000
Cu1 Cu 0.000 0.000 0.251
Cu2 Cu 0.000 0.000 0.500
Pd1 Pd 0.000 0.500 0.125
```

The 8 most intense peaks (2θ = 10–90°), in order of rising 2θ:
| 2θ/deg | I_rel |
| --- | --- |
| 29.4 | 4 |
| 29.6 | 2 |
| 42.2 | 100 |
| 52.3 | 2 |
| 61.1 | 11 |
| 61.4 | 5 |
| 77.0 | 21 |
| 77.2 | 10 |

---

# Zn5CuPd2
Calculated powder diffraction line list, Cu Kα, 1.54184 Å. Input: a cell relaxed with GGA-PBE.
Intensities are scaled so that the largest is 100.

Cell and atoms:
```
data_Zn5CuPd2
_chemical_formula_sum 'Zn10 Cu2 Pd4'
_cell_length_a 4.302
_cell_length_b 4.302
_cell_length_c 12.315
_cell_angle_alpha 90.00
_cell_angle_beta 90.00
_cell_angle_gamma 90.00
_space_group_name_H-M_alt 'I 4/m m m'
_space_group_IT_number 139
_space_group_name_Hall '-I 4 2'
loop_
_atom_site_label
_atom_site_type_symbol
_atom_site_fract_x
_atom_site_fract_y
_atom_site_fract_z
Zn1 Zn 0.000 0.000 0.000
Zn2 Zn 0.000 0.500 0.124
Cu1 Cu 0.000 0.000 0.500
Pd1 Pd 0.000 0.000 0.250
```

The 8 most intense peaks (2θ = 10–90°), in order of rising 2θ:
| 2θ/deg | I_rel |
| --- | --- |
| 14.4 | 5 |
| 32.8 | 3 |
| 41.7 | 100 |
| 42.0 | 49 |
| 60.1 | 8 |
| 60.9 | 16 |
| 76.0 | 16 |
| 76.6 | 31 |

---

# Zn7Cu4Pd
Calculated powder diffraction line list, Cu Kα, 1.54184 Å. Input: a cell relaxed with GGA-PBE.
Intensities are scaled so that the largest is 100.

Cell and atoms:
```
data_Zn7Cu4Pd
_chemical_formula_sum 'Zn14 Cu8 Pd2'
_cell_length_a 11.940
_cell_length_b 4.612
_cell_length_c 7.206
_cell_angle_alpha 90.00
_cell_angle_beta 117.31
_cell_angle_gamma 90.00
_space_group_name_H-M_alt 'C 1 2/m 1'
_space_group_IT_number 12
loop_
_space_group_symop_operation_xyz
'x,y,z'
'-x,-y,-z'
'-x,y,-z'
'x,-y,z'
'x+1/2,y+1/2,z'
'-x+1/2,-y+1/2,-z'
'-x+1/2,y+1/2,-z'
'x+1/2,-y+1/2,z'
loop_
_atom_site_label
_atom_site_type_symbol
_atom_site_fract_x
_atom_site_fract_y
_atom_site_fract_z
Zn1 Zn 0.000 0.000 0.000
Zn2 Zn 0.080 0.500 0.420
Zn3 Zn 0.176 0.500 0.854
Zn4 Zn 0.240 0.500 0.255
Cu1 Cu 0.041 0.000 0.692
Cu2 Cu 0.183 0.000 0.357
Pd1 Pd 0.000 0.500 0.000
```

The 8 most intense peaks (2θ = 10–90°), in order of rising 2θ:
| 2θ/deg | I_rel |
| --- | --- |
| 37.5 | 16 |
| 39.0 | 100 |
| 40.3 | 19 |
| 42.9 | 29 |
| 43.0 | 70 |
| 43.9 | 19 |
| 56.4 | 20 |
| 73.5 | 22 |

---

# Zn7Cu3Pd
Calculated powder diffraction line list, Cu Kα, 1.54184 Å. Input: a cell relaxed with GGA-PBE.
Intensities are scaled so that the largest is 100.

Cell and atoms:
```
data_Zn7Cu3Pd
_chemical_formula_sum 'Zn14 Cu6 Pd2'
_cell_length_a 8.882
_cell_length_b 8.993
_cell_length_c 4.684
_cell_angle_alpha 90.00
_cell_angle_beta 116.42
_cell_angle_gamma 90.00
_space_group_name_H-M_alt 'C 1 2/m 1'
_space_group_IT_number 12
loop_
_space_group_symop_operation_xyz
'x,y,z'
'-x,-y,-z'
'-x,y,-z'
'x,-y,z'
'x+1/2,y+1/2,z'
'-x+1/2,-y+1/2,-z'
'-x+1/2,y+1/2,-z'
'x+1/2,-y+1/2,z'
loop_
_atom_site_label
_atom_site_type_symbol
_atom_site_fract_x
_atom_site_fract_y
_atom_site_fract_z
Zn1 Zn 0.000 0.000 0.000
Zn2 Zn 0.170 0.260 0.670
Zn3 Zn 0.183 0.500 0.114
Cu1 Cu 0.000 0.276 0.000
Cu2 Cu 0.000 0.500 0.500
Pd1 Pd 0.000 0.000 0.500
```

The 8 most intense peaks (2θ = 10–90°), in order of rising 2θ:
| 2θ/deg | I_rel |
| --- | --- |
| 30.0 | 17 |
| 35.3 | 22 |
| 38.6 | 86 |
| 40.1 | 79 |
| 42.7 | 100 |
| 45.6 | 76 |
| 56.9 | 47 |
| 70.5 | 16 |

---

# Zn4Cu4Pd
Calculated powder diffraction line list, Cu Kα, 1.54184 Å. Input: a cell relaxed with GGA-PBE.
Intensities are scaled so that the largest is 100.

Cell and atoms:
```
data_Zn4Cu4Pd
_chemical_formula_sum 'Zn8 Cu8 Pd2'
_cell_length_a 8.230
_cell_length_b 8.230
_cell_length_c 3.547
_cell_angle_alpha 90.00
_cell_angle_beta 90.00
_cell_angle_gamma 90.00
_space_group_name_H-M_alt 'I 4/m m m'
_space_group_IT_number 139
_space_group_name_Hall '-I 4 2'
loop_
_atom_site_label
_atom_site_type_symbol
_atom_site_fract_x
_atom_site_fract_y
_atom_site_fract_z
Zn1 Zn 0.169 0.169 0.000
Cu1 Cu 0.000 0.340 0.500
Pd1 Pd 0.000 0.000 0.500
```

The 8 most intense peaks (2θ = 10–90°), in order of rising 2θ:
| 2θ/deg | I_rel |
| --- | --- |
| 15.2 | 1 |
| 35.1 | 2 |
| 41.6 | 100 |
| 46.8 | 35 |
| 51.5 | 13 |
| 68.4 | 10 |
| 72.2 | 18 |
| 83.4 | 23 |

---

# Zn7CuPd2
Calculated powder diffraction line list, Cu Kα, 1.54184 Å. Input: a cell relaxed with GGA-PBE.
Intensities are scaled so that the largest is 100.

Cell and atoms:
```
data_Zn7CuPd2
_chemical_formula_sum 'Zn7 Cu1 Pd2'
_cell_length_a 4.2082
_cell_length_b 4.2082
_cell_length_c 10.5196
_cell_angle_alpha 90.00
_cell_angle_beta 90.00
_cell_angle_gamma 120.00
_space_group_name_H-M_alt 'P 3 m 1'
_space_group_IT_number 156
loop_
_space_group_symop_operation_xyz
'x,y,z'
'-y,x-y,z'
'-x+y,-x,z'
'-y,-x,z'
'-x+y,y,z'
'x,x-y,z'
loop_
_atom_site_label
_atom_site_type_symbol
_atom_site_fract_x
_atom_site_fract_y
_atom_site_fract_z
Zn1 Zn 0.0000 0.0000 0.0000
Zn2 Zn 0.0000 0.0000 0.2539
Zn3 Zn 0.0000 0.0000 0.7371
Zn4 Zn 0.3333 0.6667 0.4031
Zn5 Zn 0.3333 0.6667 0.9037
Zn6 Zn 0.6667 0.3333 0.1086
Zn7 Zn 0.6667 0.3333 0.5906
Cu1 Cu 0.3333 0.6667 0.1580
Pd1 Pd 0.0000 0.0000 0.4962
Pd2 Pd 0.6667 0.3333 0.8435
```

The 8 most intense peaks (2θ = 10–90°), in order of rising 2θ:
| 2θ/deg | I_rel |
| --- | --- |
| 25.4 | 10 |
| 25.9 | 29 |
| 42.4 | 100 |
| 43.0 | 95 |
| 62.0 | 31 |
| 77.1 | 11 |
| 78.4 | 30 |
| 78.8 | 15 |